Starting from a crystal structure in the Materials Project, relaxed with GGA-PBE, the XRD peak list of CsTlI4 was computed for Cu Kα, 1.54184 Å.
Kinematic intensities with the Lorentz-polarization factor, no thermal factor.

Largest 10 diffraction maxima, in order of falling intensity, 2θ = 10–80°:
d = 3.685 Å, 24.15 deg, intensity 100.0; d = 2.208 Å, 40.87 deg, intensity 92.0; d = 3.443 Å, 25.88 deg, intensity 88.3; d = 3.205 Å, 27.84 deg, intensity 69.0; d = 6.409 Å, 13.82 deg, intensity 52.5; d = 3.867 Å, 23.00 deg, intensity 51.3; d = 2.174 Å, 41.53 deg, intensity 48.7; d = 4.061 Å, 21.88 deg, intensity 46.3; d = 4.869 Å, 18.22 deg, intensity 43.3; d = 4.216 Å, 21.07 deg, intensity 42.9

Structure:
```
CsTlI4
1.0
7.6548 0.0000 0.0000
0.0000 19.4686 0.0000
-2.3936 0.0000 8.5145
Cs Tl I
4 4 16
Direct
0.1905 0.1279 0.2906 Cs
0.1905 0.3721 0.7906 Cs
0.8095 0.6279 0.2094 Cs
0.8095 0.8721 0.7094 Cs
0.1889 0.6293 0.7960 Tl
0.1889 0.8707 0.2960 Tl
0.8111 0.1293 0.7040 Tl
0.8111 0.3707 0.2040 Tl
0.1894 0.1609 0.7962 I
0.1894 0.3391 0.2962 I
0.2710 0.5500 0.0779 I
0.2710 0.9500 0.5779 I
0.2763 0.5488 0.5603 I
0.2763 0.9512 0.0603 I
0.3692 0.7438 0.3682 I
0.3692 0.7562 0.8682 I
0.6308 0.2438 0.1318 I
0.6308 0.2562 0.6318 I
0.7237 0.0488 0.9397 I
0.7237 0.4512 0.4397 I
0.7290 0.0500 0.4221 I
0.7290 0.4500 0.9221 I
0.8106 0.6609 0.7038 I
0.8106 0.8391 0.2038 I
```

Starting from a crystal structure in the Materials Project, relaxed with GGA-PBE, the XRD peak list of CsTlI3 was computed for Cu Kα, 1.54184 Å.
Kinematic intensities with the Lorentz-polarization factor, no thermal factor.

Largest 10 diffraction maxima, in order of falling intensity, 2θ = 10–80°:
d = 3.158 Å, 28.26 deg, intensity 100.0; d = 2.233 Å, 40.40 deg, intensity 75.6; d = 6.315 Å, 14.02 deg, intensity 39.4; d = 4.466 Å, 19.88 deg, intensity 39.1; d = 3.646 Å, 24.41 deg, intensity 37.3; d = 1.412 Å, 66.17 deg, intensity 34.5; d = 1.823 Å, 50.03 deg, intensity 26.9; d = 1.289 Å, 73.46 deg, intensity 25.4; d = 2.824 Å, 31.68 deg, intensity 22.3; d = 2.578 Å, 34.80 deg, intensity 19.2

Structure:
```
CsTlI3
1.0
0.0000 6.3154 6.3154
6.3154 0.0000 6.3154
6.3154 6.3154 0.0000
Cs Tl I
2 2 6
Direct
0.2500 0.2500 0.2500 Cs
0.7500 0.7500 0.7500 Cs
0.0000 0.0000 0.0000 Tl
0.5000 0.5000 0.5000 Tl
0.2424 0.2424 0.7576 I
0.2424 0.7576 0.2424 I
0.2424 0.7576 0.7576 I
0.7576 0.2424 0.2424 I
0.7576 0.2424 0.7576 I
0.7576 0.7576 0.2424 I
```

Starting from a crystal structure in the Materials Project, relaxed with GGA-PBE, the XRD peak list of CsTmI3 was computed for Cu Kα, 1.54184 Å.
Kinematic intensities with the Lorentz-polarization factor, no thermal factor.

Largest 10 diffraction maxima, in order of falling intensity, 2θ = 10–80°:
d = 3.008 Å, 29.70 deg, intensity 100.0; d = 2.137 Å, 42.29 deg, intensity 68.4; d = 3.036 Å, 29.42 deg, intensity 66.6; d = 6.016 Å, 14.72 deg, intensity 43.0; d = 4.274 Å, 20.78 deg, intensity 39.2; d = 3.537 Å, 25.18 deg, intensity 35.8; d = 3.434 Å, 25.95 deg, intensity 32.1; d = 2.425 Å, 37.08 deg, intensity 22.1; d = 6.073 Å, 14.59 deg, intensity 20.4; d = 2.739 Å, 32.69 deg, intensity 19.6

Structure:
```
CsTmI3
1.0
8.7022 0.0000 0.0000
0.0000 12.1453 0.0000
0.0000 0.0000 8.3272
Cs Tm I
4 4 12
Direct
0.0660 0.2500 0.0295 Cs
0.4340 0.7500 0.5295 Cs
0.5661 0.2500 0.4705 Cs
0.9340 0.7500 0.9705 Cs
0.0000 0.0000 0.5000 Tm
0.0000 0.5000 0.5000 Tm
0.5000 0.0000 0.0000 Tm
0.5000 0.5000 0.0000 Tm
0.0019 0.2500 0.5600 I
0.2173 0.5254 0.7856 I
0.2173 0.9746 0.7856 I
0.2827 0.0254 0.2856 I
0.2827 0.4746 0.2856 I
0.4981 0.7500 0.0600 I
0.5019 0.2500 0.9400 I
0.7173 0.5254 0.7144 I
0.7173 0.9746 0.7144 I
0.7827 0.0254 0.2144 I
0.7827 0.4746 0.2144 I
0.9981 0.7500 0.4400 I
```

Starting from a crystal structure in the Materials Project, relaxed with GGA-PBE, the XRD peak list of Cs3Tm2I9 was computed for Cu Kα, 1.54184 Å.
Kinematic intensities with the Lorentz-polarization factor, no thermal factor.

Largest 10 diffraction maxima, in order of falling intensity, 2θ = 10–80°:
d = 3.310 Å, 26.94 deg, intensity 100.0; d = 3.068 Å, 29.11 deg, intensity 91.1; d = 3.522 Å, 25.29 deg, intensity 86.9; d = 2.151 Å, 42.01 deg, intensity 77.2; d = 7.044 Å, 12.57 deg, intensity 69.7; d = 2.823 Å, 31.70 deg, intensity 57.2; d = 3.607 Å, 24.68 deg, intensity 43.7; d = 1.382 Å, 67.82 deg, intensity 42.4; d = 1.847 Å, 49.34 deg, intensity 37.7; d = 2.020 Å, 44.87 deg, intensity 35.4

Structure:
```
Cs3Tm2I9
1.0
8.6023 0.0000 0.0000
-4.3011 7.4498 0.0000
0.0000 0.0000 21.6408
Cs Tm I
6 4 18
Direct
0.0000 0.0000 0.2500 Cs
0.0000 0.0000 0.7500 Cs
0.3333 0.6667 0.0702 Cs
0.3333 0.6667 0.4298 Cs
0.6667 0.3333 0.5702 Cs
0.6667 0.3333 0.9298 Cs
0.3333 0.6667 0.6561 Tm
0.3333 0.6667 0.8439 Tm
0.6667 0.3333 0.1561 Tm
0.6667 0.3333 0.3439 Tm
0.0152 0.5076 0.7500 I
0.1665 0.3330 0.5861 I
0.1665 0.3330 0.9139 I
0.1665 0.8335 0.5861 I
0.1665 0.8335 0.9139 I
0.3330 0.1665 0.0861 I
0.3330 0.1665 0.4139 I
0.4924 0.5076 0.7500 I
0.4924 0.9848 0.7500 I
0.5076 0.0152 0.2500 I
0.5076 0.4924 0.2500 I
0.6670 0.8335 0.5861 I
0.6670 0.8335 0.9139 I
0.8335 0.1665 0.0861 I
0.8335 0.1665 0.4139 I
0.8335 0.6670 0.0861 I
0.8335 0.6670 0.4139 I
0.9848 0.4924 0.2500 I
```

Starting from a crystal structure in the Materials Project, relaxed with GGA-PBE, the XRD peak list of Cs3YI6 was computed for Cu Kα, 1.54184 Å.
Kinematic intensities with the Lorentz-polarization factor, no thermal factor.

Largest 10 diffraction maxima, in order of falling intensity, 2θ = 10–80°:
d = 3.334 Å, 26.74 deg, intensity 100.0; d = 3.850 Å, 23.10 deg, intensity 78.1; d = 2.358 Å, 38.17 deg, intensity 71.5; d = 2.011 Å, 45.09 deg, intensity 31.2; d = 1.491 Å, 62.26 deg, intensity 27.5; d = 1.925 Å, 47.21 deg, intensity 24.0; d = 4.716 Å, 18.82 deg, intensity 20.7; d = 1.361 Å, 68.99 deg, intensity 18.8; d = 6.669 Å, 13.28 deg, intensity 18.4; d = 2.567 Å, 34.96 deg, intensity 11.2

Structure:
```
Cs3YI6
1.0
0.0000 6.6688 6.6688
6.6688 0.0000 6.6688
6.6688 6.6688 0.0000
Cs Y I
3 1 6
Direct
0.0000 0.0000 0.0000 Cs
0.2500 0.2500 0.2500 Cs
0.7500 0.7500 0.7500 Cs
0.5000 0.5000 0.5000 Y
0.2729 0.2729 0.7271 I
0.2729 0.7271 0.2729 I
0.2729 0.7271 0.7271 I
0.7271 0.2729 0.2729 I
0.7271 0.2729 0.7271 I
0.7271 0.7271 0.2729 I
```

Starting from a crystal structure in the Materials Project, relaxed with GGA-PBE, the XRD peak list of CsZr6I14 was computed for Cu Kα, 1.54184 Å.
Kinematic intensities with the Lorentz-polarization factor, no thermal factor.

Largest 10 diffraction maxima, in order of falling intensity, 2θ = 10–80°:
d = 3.153 Å, 28.31 deg, intensity 100.0; d = 2.788 Å, 32.10 deg, intensity 87.6; d = 3.311 Å, 26.93 deg, intensity 79.0; d = 8.538 Å, 10.36 deg, intensity 45.0; d = 3.454 Å, 25.79 deg, intensity 40.8; d = 3.339 Å, 26.69 deg, intensity 40.5; d = 2.152 Å, 41.97 deg, intensity 34.8; d = 2.024 Å, 44.77 deg, intensity 32.2; d = 1.727 Å, 53.04 deg, intensity 30.7; d = 1.889 Å, 48.17 deg, intensity 30.5

Structure:
```
CsZr6I14
1.0
8.0988 -7.6235 0.0000
8.0988 7.6235 0.0000
0.0000 0.0000 13.3578
Cs Zr I
2 12 28
Direct
0.0000 0.0000 0.0000 Cs
0.5000 0.5000 0.5000 Cs
0.0480 0.1787 0.6148 Zr
0.1057 0.8943 0.5777 Zr
0.1787 0.0480 0.3852 Zr
0.3213 0.4520 0.8852 Zr
0.3943 0.6057 0.0777 Zr
0.4520 0.3213 0.1148 Zr
0.5480 0.6787 0.8852 Zr
0.6057 0.3943 0.9223 Zr
0.6787 0.5480 0.1148 Zr
0.8213 0.9520 0.6148 Zr
0.8943 0.1057 0.4223 Zr
0.9520 0.8213 0.3852 Zr
0.0327 0.2091 0.2601 I
0.1055 0.3945 0.7500 I
0.1065 0.6503 0.4940 I
0.1503 0.6065 0.9940 I
0.1508 0.8492 0.2415 I
0.2091 0.0327 0.7399 I
0.2453 0.2453 0.0000 I
0.2547 0.2547 0.5000 I
0.2909 0.4673 0.2399 I
0.3492 0.6508 0.7415 I
0.3497 0.8935 0.4940 I
0.3935 0.8497 0.9940 I
0.3945 0.1055 0.2500 I
0.4673 0.2909 0.7601 I
0.5327 0.7091 0.2399 I
0.6055 0.8945 0.7500 I
0.6065 0.1503 0.0060 I
0.6503 0.1065 0.5060 I
0.6508 0.3492 0.2585 I
0.7091 0.5327 0.7601 I
0.7453 0.7453 0.5000 I
0.7547 0.7547 0.0000 I
0.7909 0.9673 0.2601 I
0.8492 0.1508 0.7585 I
0.8497 0.3935 0.0060 I
0.8935 0.3497 0.5060 I
0.8945 0.6055 0.2500 I
0.9673 0.7909 0.7399 I
```

Starting from a crystal structure in the Materials Project, relaxed with GGA-PBE, the XRD peak list of CsMnInTe3 was computed for Cu Kα, 1.54184 Å.
Kinematic intensities with the Lorentz-polarization factor, no thermal factor.

Largest 10 diffraction maxima, in order of falling intensity, 2θ = 10–80°:
d = 3.461 Å, 25.74 deg, intensity 100.0; d = 2.260 Å, 39.89 deg, intensity 36.5; d = 1.892 Å, 48.09 deg, intensity 34.2; d = 2.348 Å, 38.34 deg, intensity 33.3; d = 2.058 Å, 43.99 deg, intensity 25.7; d = 4.096 Å, 21.70 deg, intensity 25.4; d = 3.784 Å, 23.51 deg, intensity 24.4; d = 3.168 Å, 28.17 deg, intensity 19.3; d = 1.909 Å, 47.64 deg, intensity 13.1; d = 1.598 Å, 57.69 deg, intensity 11.8

Structure:
```
CsMnInTe3
1.0
6.3911 -6.3924 0.0000
6.3911 6.3924 0.0000
-3.2017 0.0000 24.2171
Cs Mn In Te
8 8 8 24
Direct
0.1056 0.7305 0.9216 Cs
0.2695 0.8944 0.5784 Cs
0.2698 0.3950 0.5784 Cs
0.3950 0.2698 0.0784 Cs
0.6050 0.7302 0.9216 Cs
0.7302 0.6050 0.4216 Cs
0.7305 0.1056 0.4216 Cs
0.8944 0.2695 0.0784 Cs
0.0609 0.4357 0.7500 Mn
0.0605 0.9395 0.7500 Mn
0.4357 0.0609 0.2500 Mn
0.4358 0.5642 0.2500 Mn
0.5642 0.4358 0.7500 Mn
0.5643 0.9391 0.7500 Mn
0.9395 0.0605 0.2500 Mn
0.9391 0.5643 0.2500 Mn
0.1564 0.7808 0.1243 In
0.2189 0.3438 0.3760 In
0.2192 0.8436 0.3757 In
0.3438 0.2189 0.8760 In
0.6562 0.7811 0.1240 In
0.7808 0.1564 0.6243 In
0.7811 0.6562 0.6240 In
0.8436 0.2192 0.8757 In
0.0618 0.6716 0.6861 Te
0.0629 0.1713 0.6852 Te
0.1118 0.2367 0.9472 Te
0.1713 0.0629 0.1852 Te
0.1713 0.5301 0.1855 Te
0.2367 0.1118 0.4472 Te
0.2370 0.6116 0.4472 Te
0.3284 0.9382 0.8139 Te
0.3285 0.4695 0.8142 Te
0.3884 0.7630 0.0528 Te
0.4695 0.3285 0.3142 Te
0.4699 0.8287 0.3145 Te
0.5301 0.1713 0.6855 Te
0.5305 0.6715 0.6858 Te
0.6116 0.2370 0.9472 Te
0.6715 0.5305 0.1858 Te
0.6716 0.0618 0.1861 Te
0.7630 0.3884 0.5528 Te
0.7633 0.8882 0.5528 Te
0.8287 0.4699 0.8145 Te
0.8287 0.9371 0.8148 Te
0.8882 0.7633 0.0528 Te
0.9371 0.8287 0.3148 Te
0.9382 0.3284 0.3139 Te
```

Starting from a crystal structure in the Materials Project, relaxed with GGA-PBE, the XRD peak list of Cs2Na3InO4 was computed for Cu Kα, 1.54184 Å.
Kinematic intensities with the Lorentz-polarization factor, no thermal factor.

Largest 10 diffraction maxima, in order of falling intensity, 2θ = 10–80°:
d = 2.960 Å, 30.19 deg, intensity 100.0; d = 3.039 Å, 29.39 deg, intensity 64.8; d = 3.691 Å, 24.11 deg, intensity 44.4; d = 2.993 Å, 29.85 deg, intensity 39.7; d = 2.590 Å, 34.63 deg, intensity 34.1; d = 2.945 Å, 30.36 deg, intensity 30.8; d = 3.007 Å, 29.71 deg, intensity 25.7; d = 2.340 Å, 38.47 deg, intensity 25.1; d = 2.887 Å, 30.97 deg, intensity 19.8; d = 4.690 Å, 18.92 deg, intensity 19.7

Structure:
```
Cs2Na3InO4
1.0
6.4460 0.0000 0.0000
0.0000 10.3598 0.0000
-4.5483 0.0000 11.7780
Cs Na In O
8 12 4 16
Direct
0.2160 0.2266 0.1083 Cs
0.2160 0.2734 0.6083 Cs
0.2261 0.0023 0.8653 Cs
0.2261 0.4977 0.3653 Cs
0.7739 0.5023 0.6347 Cs
0.7739 0.9977 0.1347 Cs
0.7840 0.7266 0.3917 Cs
0.7840 0.7734 0.8917 Cs
0.1099 0.7450 0.2013 Na
0.1099 0.7550 0.7013 Na
0.1385 0.0114 0.4319 Na
0.1385 0.4886 0.9319 Na
0.4121 0.5295 0.7953 Na
0.4121 0.9705 0.2953 Na
0.5879 0.0295 0.7047 Na
0.5879 0.4705 0.2047 Na
0.8615 0.5114 0.0681 Na
0.8615 0.9886 0.5681 Na
0.8901 0.2450 0.2987 Na
0.8901 0.2550 0.7987 Na
0.3972 0.7159 0.0641 In
0.3972 0.7841 0.5641 In
0.6028 0.2159 0.4359 In
0.6028 0.2841 0.9359 In
0.2382 0.5653 0.1231 O
0.2382 0.9347 0.6231 O
0.2612 0.1819 0.3507 O
0.2612 0.3181 0.8507 O
0.2787 0.6901 0.8868 O
0.2787 0.8099 0.3868 O
0.2864 0.6073 0.6083 O
0.2864 0.8927 0.1083 O
0.7136 0.1073 0.8917 O
0.7136 0.3927 0.3917 O
0.7213 0.1901 0.6132 O
0.7213 0.3099 0.1132 O
0.7388 0.6819 0.1493 O
0.7388 0.8181 0.6493 O
0.7618 0.0653 0.3769 O
0.7618 0.4347 0.8769 O
```